For HfCuP2S, DFT lattice parameters and positions (GGA-PBE) gives the theoretical X-ray powder pattern in this record (CuKα).

Cell and atoms:
a b c (Å): 4.9673 4.9673 4.8368
angles (deg): 90.00 90.00 90.00
Space group P4/mmm (No. 123)
Asymmetric unit:
Hf1 0.0000 0.0000 0.0000 [1 per cell]
Cu1 0.5000 0.5000 0.5000 [1 per cell]
P1 0.0000 0.5000 0.0000 [2 per cell]
S1 0.0000 0.0000 0.5000 [1 per cell]

Top 12 peaks for 15 to 90 degrees two-theta, in order of rising 2θ:
- 17.86 deg, I 54, (1 0 0)
- 18.34 deg, I 23, (0 0 1)
- 25.36 deg, I 54, (1 1 0)
- 25.71 deg, I 100, (1 0 1)
- 36.17 deg, I 53, (2 0 0)
- 37.18 deg, I 25, (0 0 2)
- 40.61 deg, I 13, (2 1 0)
- 44.90 deg, I 46, (2 1 1)
- 45.54 deg, I 23, (1 1 2)
- 52.08 deg, I 18, (2 2 0)
- 52.84 deg, I 35, (2 0 2)
- 65.71 deg, I 18, (2 2 2)

For Ce3SnAs4, DFT lattice parameters and positions (GGA-PBE) gives the theoretical X-ray powder pattern in this record (CuKα).

Cell and atoms:
a b c (Å): 5.9799 5.9799 5.9799
angles (deg): 90.00 90.00 90.00
Space group Pm-3m (No. 221)
Asymmetric unit:
Ce1 0.0000 0.0000 0.5000 [3 per cell]
Sn1 0.5000 0.5000 0.5000 [1 per cell]
As1 0.0000 0.0000 0.0000 [1 per cell]
As2 0.0000 0.5000 0.5000 [3 per cell]

Top 10 peaks for 15 to 90 degrees two-theta, in order of rising 2θ:
- 25.80 deg, I 14, (1 1 1)
- 29.88 deg, I 100, (2 0 0)
- 42.77 deg, I 75, (2 2 0)
- 50.63 deg, I 7, (3 1 1)
- 53.05 deg, I 27, (2 2 2)
- 62.08 deg, I 12, (4 0 0)
- 68.38 deg, I 3, (3 3 1)
- 70.41 deg, I 34, (4 2 0)
- 78.33 deg, I 25, (4 2 2)
- 84.12 deg, I 2, (5 1 1)